Diffraction record for Dy2Zn9Ga3. The powder XRD pattern is computed, not measured: it uses a cell relaxed with PBE and Cu Kα, 1.54184 Å.
Neutral-atom scattering factors, no anomalous dispersion.

Peak list (10 most intense, 10° ≤ 2θ ≤ 90°, sorted by position)
d_spacing  two_theta  I (rel.)
2.952  30.3  19
2.695  33.2  19
2.462  36.5  20
2.401  37.5  43
2.386  37.7  100
2.272  39.7  71
2.247  40.1  25
2.235  40.4  32
2.216  40.7  21
1.318  71.6  21

Crystal structure
```
Dy2Zn9Ga3
1.0
6.705 -3.957 0.000
6.705 3.957 0.000
0.000 0.000 9.063
Dy Zn Ga
4 18 6
Cartesian
2.157 1.206 2.266
2.157 -1.206 6.797
11.253 1.206 2.266
11.253 -1.206 6.797
4.560 2.467 0.846
4.560 2.467 3.685
6.705 2.769 2.266
6.705 1.308 5.106
6.705 1.308 8.488
8.850 2.467 0.846
8.850 2.467 3.685
5.410 0.358 2.266
5.410 -0.358 6.797
8.000 0.358 2.266
8.000 -0.358 6.797
4.560 -2.467 5.377
4.560 -2.467 8.217
6.705 -1.308 0.575
6.705 -1.308 3.957
6.705 -2.769 6.797
8.850 -2.467 5.377
8.850 -2.467 8.217
0.000 0.000 0.000
0.000 0.000 4.531
4.150 0.000 0.000
4.150 0.000 4.531
9.260 0.000 0.000
9.260 0.000 4.531
```

---

Diffraction record for Dy4ZnGa3. The powder XRD pattern is computed, not measured: it uses a cell relaxed with PBE and Cu Kα, 1.54184 Å.
Neutral-atom scattering factors, no anomalous dispersion.

Peak list (10 most intense, 10° ≤ 2θ ≤ 90°, sorted by position)
d_spacing  two_theta  I (rel.)
3.578  24.9  17
3.554  25.1  9
2.530  35.5  50
2.521  35.6  100
1.789  51.1  18
1.777  51.4  9
1.459  63.8  36
1.454  64.0  18
1.261  75.4  11
1.131  85.9  16

Crystal structure
```
Dy4ZnGa3
1.0
10.119 0.000 0.000
0.000 7.108 0.000
0.000 0.000 5.060
Dy Zn Ga
8 2 6
Cartesian
0.000 1.770 0.000
0.000 5.338 0.000
2.530 1.770 2.526
2.530 5.338 2.526
5.060 1.770 0.000
5.060 5.338 0.000
7.589 1.770 2.533
7.589 5.338 2.533
0.000 0.000 2.530
5.060 0.000 2.530
0.000 3.554 2.530
2.530 0.000 5.055
2.530 3.554 5.054
5.060 3.554 2.530
7.589 0.000 0.005
7.589 3.554 0.005
```

---

Diffraction record for Dy3ZnGa12. The powder XRD pattern is computed, not measured: it uses a cell relaxed with PBE and Cu Kα, 1.54184 Å.
Neutral-atom scattering factors, no anomalous dispersion.

Peak list (10 most intense, 10° ≤ 2θ ≤ 90°, sorted by position)
d_spacing  two_theta  I (rel.)
4.250  20.9  7
3.000  29.8  8
2.449  36.7  100
2.125  42.5  34
2.113  42.8  15
1.503  61.7  11
1.498  61.9  19
1.281  74.0  25
1.276  74.4  10
1.225  78.0  10

Crystal structure
```
Dy3ZnGa12
1.0
4.250 0.000 0.000
0.000 4.250 0.000
0.000 0.000 16.905
Dy Zn Ga
3 1 12
Cartesian
0.000 0.000 0.000
0.000 0.000 4.338
0.000 0.000 12.567
0.000 0.000 8.453
0.000 2.125 2.171
0.000 2.125 6.557
0.000 2.125 10.348
0.000 2.125 14.734
2.125 0.000 2.171
2.125 0.000 6.557
2.125 0.000 10.348
2.125 0.000 14.734
2.125 2.125 0.000
2.125 2.125 4.134
2.125 2.125 8.453
2.125 2.125 12.771
```